Record 1
EuGe3Rh: simulated powder diffraction line list (CuKα), based on a structure optimized by DFT (PBE).

Structural model:
a b c (Å): 4.4483 4.4483 10.1729
angles (deg): 90.00 90.00 90.00
Fractional positions:
Eu 0.0000 0.0000 0.0000
Eu 0.5000 0.5000 0.5000
Ge 0.0000 0.0000 0.5853
Ge 0.0000 0.5000 0.2449
Ge 0.0000 0.5000 0.7449
Ge 0.5000 0.0000 0.2449
Ge 0.5000 0.0000 0.7449
Ge 0.5000 0.5000 0.0853
Rh 0.0000 0.0000 0.3478
Rh 0.5000 0.5000 0.8478

Peak list (10 most intense, 2θ = 15–90°, by intensity)
(hkl)  2θ (°)  d (Å)  I/Imax
1 1 2  33.5  2.675  100
1 0 3  33.2  2.697  74
2 0 0  40.6  2.224  73
2 1 3  53.4  1.716  38
1 1 0  28.4  3.145  27
2 2 0  58.7  1.573  24
3 1 2  69.3  1.356  24
1 0 5  49.2  1.850  23
2 1 5  65.6  1.422  19
1 1 6  62.2  1.492  17



Record 2
NdGa: simulated powder diffraction line list (CuKα), based on a structure optimized by DFT (PBE).

Structural model:
a b c (Å): 4.4811 11.3368 4.1861
angles (deg): 90.00 90.00 90.00
Fractional positions:
Nd 0.0000 0.1406 0.2500
Nd 0.0000 0.8594 0.7500
Nd 0.5000 0.3594 0.7500
Nd 0.5000 0.6406 0.2500
Ga 0.0000 0.4291 0.2500
Ga 0.0000 0.5709 0.7500
Ga 0.5000 0.0709 0.7500
Ga 0.5000 0.9291 0.2500

Peak list (10 most intense, 2θ = 15–90°, by intensity)
(hkl)  2θ (°)  d (Å)  I/Imax
1 1 1  30.3  2.953  100
1 3 1  37.8  2.378  52
1 3 0  31.0  2.889  48
2 0 0  40.3  2.241  27
0 2 1  26.5  3.367  24
0 4 0  31.6  2.834  24
0 0 2  43.2  2.093  22
0 4 1  38.4  2.347  21
1 3 2  54.1  1.695  20
2 0 2  60.5  1.529  16



Record 3
CaGa2As2: simulated powder diffraction line list (CuKα), based on a structure optimized by DFT (PBE).

Structural model:
a b c (Å): 4.0360 4.0360 25.2627
angles (deg): 90.00 90.00 120.00
Fractional positions:
Ca 0.0000 0.0000 0.0000
Ca 0.3333 0.6667 0.6667
Ca 0.6667 0.3333 0.3333
Ga 0.0000 0.0000 0.4509
Ga 0.0000 0.0000 0.5491
Ga 0.3333 0.6667 0.1176
Ga 0.3333 0.6667 0.2158
Ga 0.6667 0.3333 0.7842
Ga 0.6667 0.3333 0.8824
As 0.0000 0.0000 0.2568
As 0.0000 0.0000 0.7432
As 0.3333 0.6667 0.4098
As 0.3333 0.6667 0.9235
As 0.6667 0.3333 0.0765
As 0.6667 0.3333 0.5902

Peak list (10 most intense, 2θ = 15–90°, by intensity)
(hkl)  2θ (°)  d (Å)  I/Imax
1 0 4  29.2  3.058  100
1 1 0  44.9  2.018  60
1 0 10  44.2  2.047  32
1 0 7  35.8  2.511  28
0 1 11  47.4  1.919  28
0 0 6  21.1  4.210  27
1 0 1  25.7  3.462  25
0 2 4  54.5  1.684  19
2 1 4  73.2  1.293  18
1 1 6  50.1  1.820  16



Record 4
NaAsSe2: simulated powder diffraction line list (CuKα), based on a structure optimized by DFT (PBE).

Structural model:
a b c (Å): 5.5930 5.5930 11.7589
angles (deg): 90.00 90.00 90.00
Fractional positions:
Na 0.0000 0.2500 0.3750
Na 0.0000 0.7500 0.6250
Na 0.5000 0.2500 0.1250
Na 0.5000 0.7500 0.8750
As 0.0000 0.2500 0.8750
As 0.0000 0.7500 0.1250
As 0.5000 0.2500 0.6250
As 0.5000 0.7500 0.3750
Se 0.0000 0.2500 0.1056
Se 0.0000 0.2500 0.6444
Se 0.0000 0.7500 0.3556
Se 0.0000 0.7500 0.8944
Se 0.5000 0.2500 0.3944
Se 0.5000 0.2500 0.8556
Se 0.5000 0.7500 0.1444
Se 0.5000 0.7500 0.6056

Peak list (10 most intense, 2θ = 15–90°, by intensity)
(hkl)  2θ (°)  d (Å)  I/Imax
2 0 0  32.0  2.796  100
2 0 4  44.7  2.026  67
0 0 4  30.4  2.940  50
2 2 0  45.9  1.977  36
1 0 1  17.6  5.051  34
2 2 4  56.0  1.641  34
4 2 4  84.1  1.151  21
4 2 0  76.1  1.251  16
1 0 5  41.7  2.168  15
2 1 5  53.5  1.713  14